Entry 1:
Structure and calculated powder XRD pattern of KInI4 (a structure optimized by DFT (PBE); Cu Ka).
Lines closer than 0.1° are merged.

Structure:
```
KInI4
1.0
-7.186 7.559 10.041
7.186 -7.559 10.041
7.186 7.559 -10.041
K In I
6 6 24
direct
0.000 0.000 0.000 K
0.377 0.679 0.699 K
0.480 0.179 0.302 K
0.500 0.500 0.000 K
0.877 0.178 0.698 K
0.980 0.678 0.301 K
0.255 0.257 0.498 In
0.259 0.757 0.003 In
0.260 0.260 0.000 In
0.755 0.256 0.997 In
0.759 0.756 0.502 In
0.760 0.760 0.000 In
0.069 0.723 0.997 I
0.079 0.064 0.783 I
0.081 0.298 0.358 I
0.220 0.443 0.998 I
0.220 0.570 0.774 I
0.225 0.223 0.654 I
0.281 0.296 0.217 I
0.296 0.070 0.349 I
0.297 0.938 0.988 I
0.441 0.798 0.217 I
0.445 0.222 0.002 I
0.451 0.438 0.641 I
0.569 0.572 0.346 I
0.579 0.796 0.015 I
0.581 0.223 0.783 I
0.720 0.722 0.777 I
0.720 0.947 0.651 I
0.725 0.072 0.003 I
0.781 0.564 0.985 I
0.796 0.447 0.226 I
0.797 0.810 0.359 I
0.941 0.723 0.642 I
0.945 0.943 0.223 I
0.951 0.310 0.012 I
```

Principal peaks in the range 10 to 80 degrees two-theta, in order of rising 2θ:
| Position (°2θ) | intensity |
| --- | --- |
| 12.25 | 55 |
| 24.76 | 42 |
| 25.36 | 41 |
| 25.69 | 76 |
| 25.86 | 100 |
| 26.37 | 36 |

Entry 2:
Structure and calculated powder XRD pattern of K3InI6O18 (a structure optimized by DFT (PBE); Cu Ka).
Lines closer than 0.1° are merged.

Structure:
```
K3InI6O18
1.0
7.088 0.000 0.000
-1.654 7.044 0.000
-3.483 -2.350 9.957
K In I O
3 1 6 18
direct
0.000 0.000 0.000 K
0.377 0.038 0.793 K
0.623 0.962 0.207 K
0.000 0.500 0.500 In
0.133 0.560 0.878 I
0.217 0.961 0.398 I
0.445 0.464 0.306 I
0.555 0.536 0.694 I
0.783 0.039 0.602 I
0.867 0.440 0.122 I
0.003 0.857 0.236 O
0.054 0.614 0.708 O
0.112 0.421 0.101 O
0.113 0.817 0.505 O
0.295 0.805 0.969 O
0.309 0.465 0.539 O
0.390 0.199 0.265 O
0.409 0.843 0.376 O
0.439 0.463 0.814 O
0.561 0.537 0.186 O
0.591 0.157 0.624 O
0.610 0.801 0.735 O
0.691 0.535 0.461 O
0.705 0.195 0.031 O
0.887 0.183 0.495 O
0.888 0.579 0.899 O
0.946 0.386 0.292 O
0.997 0.143 0.764 O
```

Principal peaks in the range 10 to 80 degrees two-theta, in order of rising 2θ:
| Position (°2θ) | intensity |
| --- | --- |
| 26.03 | 100 |
| 26.37 | 70 |
| 27.02 | 40 |
| 27.48 | 73 |
| 29.46 | 35 |
| 31.66 | 31 |

Entry 3:
Structure and calculated powder XRD pattern of K3InI6O18 (a structure optimized by DFT (PBE); Cu Ka).
Lines closer than 0.1° are merged.

Structure:
```
K3InI6O18
1.0
0.000 20.169 5.710
4.222 0.000 5.710
4.222 20.169 0.000
K In I O
6 2 12 36
direct
0.000 0.000 0.000 K
0.157 0.849 0.040 K
0.210 0.296 0.093 K
0.250 0.250 0.250 K
0.296 0.210 0.401 K
0.849 0.157 0.954 K
0.500 0.500 0.500 In
0.750 0.750 0.750 In
0.104 0.410 0.993 I
0.240 0.743 0.356 I
0.257 0.757 0.146 I
0.310 0.681 0.505 I
0.410 0.104 0.493 I
0.588 0.894 0.507 I
0.681 0.310 0.504 I
0.743 0.240 0.662 I
0.745 0.746 0.940 I
0.746 0.745 0.569 I
0.757 0.257 0.840 I
0.894 0.588 0.010 I
0.002 0.716 0.299 O
0.013 0.135 0.395 O
0.049 0.684 0.755 O
0.073 0.697 0.452 O
0.133 0.646 0.531 O
0.135 0.013 0.457 O
0.144 0.207 0.764 O
0.203 0.528 0.825 O
0.207 0.144 0.885 O
0.266 0.951 0.534 O
0.274 0.436 0.893 O
0.331 0.667 0.575 O
0.357 0.854 0.976 O
0.365 0.486 0.043 O
0.425 0.806 0.047 O
0.436 0.274 0.396 O
0.471 0.798 0.553 O
0.486 0.365 0.106 O
0.495 0.737 0.201 O
0.528 0.203 0.444 O
0.559 0.719 0.604 O
0.646 0.133 0.691 O
0.667 0.331 0.426 O
0.675 0.824 0.919 O
0.684 0.049 0.513 O
0.697 0.073 0.779 O
0.716 0.002 0.984 O
0.719 0.559 0.117 O
0.737 0.495 0.566 O
0.793 0.855 0.115 O
0.798 0.471 0.177 O
0.806 0.425 0.722 O
0.824 0.675 0.583 O
0.854 0.357 0.814 O
0.855 0.793 0.237 O
0.951 0.266 0.248 O
```

Principal peaks in the range 10 to 80 degrees two-theta, in order of rising 2θ:
| Position (°2θ) | intensity |
| --- | --- |
| 13.22 | 34 |
| 26.25 | 58 |
| 26.63 | 49 |
| 27.06 | 100 |
| 27.58 | 28 |
| 44.40 | 37 |

Entry 4:
Structure and calculated powder XRD pattern of KRb2InI6 (a structure optimized by DFT (PBE); Cu Ka).
Lines closer than 0.1° are merged.

Structure:
```
KRb2InI6
1.0
0.000 6.304 6.304
6.304 0.000 6.304
6.304 6.304 0.000
K Rb In I
1 2 1 6
direct
0.000 0.000 0.000 K
0.250 0.250 0.250 Rb
0.750 0.750 0.750 Rb
0.500 0.500 0.500 In
0.267 0.267 0.733 I
0.267 0.733 0.267 I
0.267 0.733 0.733 I
0.733 0.267 0.267 I
0.733 0.267 0.733 I
0.733 0.733 0.267 I
```

Principal peaks in the range 10 to 80 degrees two-theta, in order of rising 2θ:
| Position (°2θ) | intensity |
| --- | --- |
| 14.05 | 28 |
| 24.46 | 97 |
| 28.31 | 100 |
| 40.47 | 72 |
| 47.85 | 41 |
| 66.31 | 29 |

Entry 5:
Structure and calculated powder XRD pattern of K2TlInI6 (a structure optimized by DFT (PBE); Cu Ka).
Lines closer than 0.1° are merged.

Structure:
```
K2TlInI6
1.0
0.000 6.254 6.254
6.254 0.000 6.254
6.254 6.254 0.000
K Tl In I
2 1 1 6
direct
0.250 0.250 0.250 K
0.750 0.750 0.750 K
0.000 0.000 0.000 Tl
0.500 0.500 0.500 In
0.264 0.264 0.736 I
0.264 0.736 0.264 I
0.264 0.736 0.736 I
0.736 0.264 0.264 I
0.736 0.264 0.736 I
0.736 0.736 0.264 I
```

Principal peaks in the range 10 to 80 degrees two-theta, in order of rising 2θ:
| Position (°2θ) | intensity |
| --- | --- |
| 14.16 | 95 |
| 24.65 | 39 |
| 28.54 | 100 |
| 32.00 | 51 |
| 40.81 | 73 |
| 66.90 | 30 |

Entry 6:
Structure and calculated powder XRD pattern of NaInI4 (a structure optimized by DFT (PBE); Cu Ka).
Lines closer than 0.1° are merged.

Structure:
```
NaInI4
1.0
8.743 0.000 0.000
0.000 8.177 0.000
-0.877 0.000 16.138
Na In I
4 4 16
direct
0.151 0.006 0.376 Na
0.151 0.494 0.876 Na
0.849 0.506 0.124 Na
0.849 0.994 0.624 Na
0.296 0.690 0.101 In
0.296 0.810 0.601 In
0.704 0.190 0.399 In
0.704 0.310 0.899 In
0.061 0.662 0.684 I
0.061 0.838 0.184 I
0.189 0.129 0.574 I
0.189 0.371 0.074 I
0.314 0.677 0.446 I
0.314 0.823 0.946 I
0.435 0.204 0.303 I
0.435 0.296 0.803 I
0.565 0.704 0.197 I
0.565 0.796 0.697 I
0.686 0.177 0.054 I
0.686 0.323 0.554 I
0.811 0.629 0.926 I
0.811 0.871 0.426 I
0.939 0.162 0.816 I
0.939 0.338 0.316 I
```

Principal peaks in the range 10 to 80 degrees two-theta, in order of rising 2θ:
| Position (°2θ) | intensity |
| --- | --- |
| 21.79 | 100 |
| 23.70 | 70 |
| 24.60 | 86 |
| 24.79 | 85 |
| 25.14 | 80 |
| 38.18 | 70 |

Entry 7:
Structure and calculated powder XRD pattern of NaInI4O12 (a structure optimized by DFT (PBE); Cu Ka).
Lines closer than 0.1° are merged.

Structure:
```
NaInI4O12
1.0
7.315 0.000 0.000
0.000 5.085 0.000
-3.080 0.000 15.537
Na In I O
2 2 8 24
direct
0.000 0.000 0.000 Na
0.000 0.500 0.500 Na
0.500 0.000 0.000 In
0.500 0.500 0.500 In
0.167 0.094 0.336 I
0.167 0.406 0.836 I
0.319 0.508 0.137 I
0.319 0.992 0.637 I
0.681 0.008 0.363 I
0.681 0.492 0.863 I
0.833 0.594 0.164 I
0.833 0.906 0.664 I
0.049 0.727 0.707 O
0.049 0.773 0.207 O
0.103 0.154 0.591 O
0.103 0.346 0.091 O
0.244 0.172 0.927 O
0.244 0.328 0.427 O
0.301 0.740 0.550 O
0.301 0.760 0.050 O
0.331 0.198 0.268 O
0.331 0.302 0.768 O
0.497 0.208 0.604 O
0.497 0.292 0.104 O
0.503 0.708 0.896 O
0.503 0.792 0.396 O
0.669 0.698 0.232 O
0.669 0.802 0.732 O
0.699 0.240 0.950 O
0.699 0.260 0.450 O
0.756 0.672 0.573 O
0.756 0.828 0.073 O
0.897 0.654 0.909 O
0.897 0.846 0.409 O
0.951 0.227 0.793 O
0.951 0.273 0.293 O
```

Principal peaks in the range 10 to 80 degrees two-theta, in order of rising 2θ:
| Position (°2θ) | intensity |
| --- | --- |
| 18.38 | 23 |
| 24.54 | 100 |
| 29.38 | 28 |
| 30.11 | 56 |
| 30.46 | 28 |
| 47.29 | 25 |

Entry 8:
Structure and calculated powder XRD pattern of Rb2NaInI6 (a structure optimized by DFT (PBE); Cu Ka).
Lines closer than 0.1° are merged.

Structure:
```
Rb2NaInI6
1.0
0.000 6.094 6.094
6.094 0.000 6.094
6.094 6.094 0.000
Rb Na In I
2 1 1 6
direct
0.250 0.250 0.250 Rb
0.750 0.750 0.750 Rb
0.000 0.000 0.000 Na
0.500 0.500 0.500 In
0.258 0.258 0.742 I
0.258 0.742 0.258 I
0.258 0.742 0.742 I
0.742 0.258 0.258 I
0.742 0.258 0.742 I
0.742 0.742 0.258 I
```

Principal peaks in the range 10 to 80 degrees two-theta, in order of rising 2θ:
| Position (°2θ) | intensity |
| --- | --- |
| 25.32 | 100 |
| 29.31 | 95 |
| 41.94 | 70 |
| 49.62 | 45 |
| 51.99 | 24 |
| 68.91 | 30 |